# NpCr2BiO6
Computed powder X-ray diffraction pattern, Cu Kα. Input: a structure optimized by DFT (GGA+U).
Kinematic intensities with the Lorentz-polarization factor, no thermal factor.

Main lines, in order of rising 2θ (10 to 90 degrees two-theta):
- 4.191 Å, 21.20 deg, I = 54.1, (0 1 0)
- 3.975 Å, 22.36 deg, I = 100.0, (1 1 1)
- 2.951 Å, 30.29 deg, I = 50.6, (1 0 1)
- 2.929 Å, 30.52 deg, I = 49.3, (1 1 -1)
- 2.866 Å, 31.21 deg, I = 45.5, (0 1 2)
- 2.839 Å, 31.52 deg, I = 48.3, (-1 1 1)
- 2.825 Å, 31.67 deg, I = 46.5, (1 2 1)
- 2.759 Å, 32.45 deg, I = 44.4, (2 1 0)
- 2.311 Å, 38.98 deg, I = 30.0, (0 2 2)
- 1.988 Å, 45.64 deg, I = 37.4, (2 0 -2)

Cell and atoms:
Cell lengths 5.5180, 5.6574, 5.7405 Å; angles 62.08, 89.87, 61.15 degrees
Space group P1 (No. 1)
Asymmetric unit:
Np 0.0000 0.0000 0.0000 (multiplicity 1)
Cr 0.2112 0.5684 0.6326 (multiplicity 1)
Cr 0.7011 0.5927 0.1050 (multiplicity 1)
Bi 0.4881 0.0189 0.4709 (multiplicity 1)
O 0.0404 0.5363 0.3178 (multiplicity 1)
O 0.3317 0.7427 0.8313 (multiplicity 1)
O 0.4235 0.7143 0.3255 (multiplicity 1)
O 0.5878 0.0597 0.8419 (multiplicity 1)
O 0.8353 0.1310 0.3001 (multiplicity 1)
O 0.9092 0.5098 0.8242 (multiplicity 1)

***

# CrBiO5
Computed powder X-ray diffraction pattern, Cu Kα. Input: a structure optimized by DFT (GGA+U).
Kinematic intensities with the Lorentz-polarization factor, no thermal factor.

Main lines, in order of rising 2θ (10 to 90 degrees two-theta):
- 4.896 Å, 18.12 deg, I = 97.6, (0 2 1)
- 4.718 Å, 18.81 deg, I = 100.0, (1 0 0)
- 4.060 Å, 21.89 deg, I = 69.2, (0 1 2)
- 3.796 Å, 23.44 deg, I = 49.2, (1 1 1)
- 3.479 Å, 25.61 deg, I = 91.3, (1 2 -1)
- 2.969 Å, 30.10 deg, I = 60.1, (0 4 0)
- 2.918 Å, 30.64 deg, I = 28.9, (0 3 2)
- 2.799 Å, 31.98 deg, I = 28.2, (0 1 3)
- 2.423 Å, 37.10 deg, I = 27.8, (1 3 2)
- 2.345 Å, 38.38 deg, I = 27.1, (1 2 -3)

Cell and atoms:
Cell lengths 4.7342, 11.8829, 8.6684 Å; angles 90.00, 94.69, 90.00 degrees
Space group P2_1/c (No. 14)
Asymmetric unit:
Cr 0.1315 0.1554 0.0731 (multiplicity 4)
Bi 0.1088 0.5987 0.8217 (multiplicity 4)
O 0.1716 0.5248 0.0780 (multiplicity 4)
O 0.1952 0.1096 0.8946 (multiplicity 4)
O 0.2070 0.6708 0.4212 (multiplicity 4)
O 0.2550 0.0632 0.2103 (multiplicity 4)
O 0.2615 0.2136 0.6086 (multiplicity 4)

***

# CrBi3O7
Computed powder X-ray diffraction pattern, Cu Kα. Input: a structure optimized by DFT (GGA+U).
Kinematic intensities with the Lorentz-polarization factor, no thermal factor.

Main lines, in order of rising 2θ (10 to 90 degrees two-theta):
- 6.260 Å, 14.15 deg, I = 19.4, (1 1 0)
- 3.210 Å, 27.79 deg, I = 15.2, (1 3 0)
- 3.130 Å, 28.52 deg, I = 99.6, (2 2 0)
- 3.053 Å, 29.25 deg, I = 100.0, (0 2 2)
- 2.692 Å, 33.28 deg, I = 49.1, (2 0 2)
- 2.646 Å, 33.88 deg, I = 22.0, (0 4 0)
- 1.887 Å, 48.22 deg, I = 52.0, (2 4 2)
- 1.869 Å, 48.73 deg, I = 16.3, (0 0 4)
- 1.638 Å, 56.16 deg, I = 22.6, (4 2 2)
- 1.605 Å, 57.42 deg, I = 38.5, (2 2 4)

Cell and atoms:
Cell lengths 7.7631, 10.5842, 7.4753 Å; angles 90.00, 90.00, 90.00 degrees
Space group C222_1 (No. 20)
Asymmetric unit:
Cr 0.0020 0.0000 0.0000 (multiplicity 4)
Bi 0.0366 0.5000 0.0000 (multiplicity 4)
Bi 0.2308 0.2300 0.2420 (multiplicity 8)
O 0.0000 0.0647 0.2500 (multiplicity 4)
O 0.0000 0.3556 0.2500 (multiplicity 4)
O 0.0000 0.3601 0.7500 (multiplicity 4)
O 0.1868 0.1291 0.9633 (multiplicity 8)
O 0.2013 0.1211 0.5325 (multiplicity 8)

***

# CrBiO5
Computed powder X-ray diffraction pattern, Cu Kα. Input: a structure optimized by DFT (GGA+U).
Kinematic intensities with the Lorentz-polarization factor, no thermal factor.

Main lines, in order of rising 2θ (10 to 90 degrees two-theta):
- 5.179 Å, 17.12 deg, I = 25.2, (1 1 0)
- 3.656 Å, 24.34 deg, I = 100.0, (2 0 0)
- 2.587 Å, 34.68 deg, I = 34.7, (2 2 0)
- 2.316 Å, 38.88 deg, I = 12.5, (3 1 0)
- 2.112 Å, 42.82 deg, I = 16.6, (3 0 1)
- 1.950 Å, 46.57 deg, I = 11.5, (1 1 2)
- 1.830 Å, 49.82 deg, I = 21.5, (4 0 0)
- 1.637 Å, 56.18 deg, I = 15.7, (4 2 0)
- 1.558 Å, 59.32 deg, I = 14.7, (3 1 2)
- 1.384 Å, 67.73 deg, I = 9.2, (4 3 1)

Cell and atoms:
Cell lengths 7.3245, 7.3245, 4.2106 Å; angles 90.00, 90.00, 90.00 degrees
Space group P4/nmm (No. 129, origin choice 2)
Asymmetric unit:
Cr 0.2500 0.7500 0.0000 (multiplicity 2)
Bi 0.2500 0.2500 0.2162 (multiplicity 2)
O 0.0644 0.7500 0.7709 (multiplicity 8)
O 0.2500 0.2500 0.7146 (multiplicity 2)

***

# Cr2Bi6O15
Computed powder X-ray diffraction pattern, Cu Kα. Input: a structure optimized by DFT (GGA+U).
Kinematic intensities with the Lorentz-polarization factor, no thermal factor.

Main lines, in order of rising 2θ (10 to 90 degrees two-theta):
- 5.403 Å, 16.41 deg, I = 10.3, (2 2 0)
- 5.237 Å, 16.93 deg, I = 13.0, (1 1 1)
- 3.306 Å, 26.97 deg, I = 100.0, (2 4 1)
- 3.196 Å, 27.92 deg, I = 11.0, (4 0 0)
- 3.086 Å, 28.93 deg, I = 33.4, (3 3 1)
- 2.994 Å, 29.84 deg, I = 16.7, (0 0 2)
- 2.536 Å, 35.39 deg, I = 12.2, (5 1 0)
- 2.528 Å, 35.52 deg, I = 12.8, (0 8 0)
- 1.915 Å, 47.49 deg, I = 11.9, (5 7 0)
- 1.691 Å, 54.25 deg, I = 11.9, (7 3 1)

Cell and atoms:
Cell lengths 12.7835, 20.2212, 5.9874 Å; angles 90.00, 90.00, 90.00 degrees
Space group Ccc2 (No. 37)
Asymmetric unit:
Cr 0.1268 0.1630 0.0000 (multiplicity 8)
Bi 0.0951 0.2980 0.4746 (multiplicity 8)
Bi 0.1093 0.4379 0.8663 (multiplicity 8)
Bi 0.1833 0.0688 0.4647 (multiplicity 8)
O 0.0000 0.5000 0.1820 (multiplicity 4)
O 0.0142 0.3443 0.7573 (multiplicity 8)
O 0.0528 0.2284 0.0735 (multiplicity 8)
O 0.0588 0.0943 0.0148 (multiplicity 8)
O 0.1569 0.4012 0.5238 (multiplicity 8)
O 0.1747 0.1722 0.7427 (multiplicity 8)
O 0.2248 0.1562 0.1894 (multiplicity 8)
O 0.2477 0.0021 0.7301 (multiplicity 8)

***

# CrBi14O24
Computed powder X-ray diffraction pattern, Cu Kα. Input: a structure optimized by DFT (GGA+U).
Kinematic intensities with the Lorentz-polarization factor, no thermal factor.

Main lines, in order of rising 2θ (10 to 90 degrees two-theta):
- 3.265 Å, 27.32 deg, I = 100.0, (1 2 0)
- 3.246 Å, 27.48 deg, I = 98.7, (1 2 3)
- 2.871 Å, 31.16 deg, I = 31.2, (0 0 3)
- 2.795 Å, 32.03 deg, I = 50.7, (-1 3 1)
- 2.002 Å, 45.29 deg, I = 28.5, (-1 3 4)
- 1.976 Å, 45.93 deg, I = 25.5, (2 4 3)
- 1.727 Å, 53.04 deg, I = 16.4, (-2 1 4)
- 1.718 Å, 53.31 deg, I = 16.0, (2 -1 5)
- 1.689 Å, 54.30 deg, I = 18.7, (0 5 4)
- 1.686 Å, 54.41 deg, I = 18.4, (3 -4 1)

Cell and atoms:
Cell lengths 8.8366, 8.8380, 10.6032 Å; angles 65.49, 65.76, 89.95 degrees
Space group P1 (No. 1)
Asymmetric unit:
Cr 0.0000 0.0000 0.0000 (multiplicity 1)
Bi 0.0388 0.4439 0.6790 (multiplicity 1)
Bi 0.1120 0.9176 0.3501 (multiplicity 1)
Bi 0.1874 0.4156 0.0209 (multiplicity 1)
Bi 0.2592 0.8472 0.6785 (multiplicity 1)
Bi 0.3231 0.3145 0.3384 (multiplicity 1)
Bi 0.4149 0.7609 0.0239 (multiplicity 1)
Bi 0.4502 0.2578 0.6742 (multiplicity 1)
Bi 0.5130 0.6944 0.3547 (multiplicity 1)
Bi 0.5358 0.1925 0.0136 (multiplicity 1)
Bi 0.6306 0.6413 0.7003 (multiplicity 1)
Bi 0.7073 0.1098 0.3483 (multiplicity 1)
Bi 0.7633 0.5335 0.0163 (multiplicity 1)
Bi 0.8483 0.0332 0.6819 (multiplicity 1)
Bi 0.9246 0.5107 0.3548 (multiplicity 1)
O 0.0847 0.0828 0.8060 (multiplicity 1)
O 0.0953 0.5988 0.7806 (multiplicity 1)
O 0.1213 0.8753 0.0646 (multiplicity 1)
O 0.1563 0.9802 0.5081 (multiplicity 1)
O 0.2172 0.5170 0.1803 (multiplicity 1)
O 0.2789 0.2129 0.1734 (multiplicity 1)
O 0.3105 0.4717 0.5128 (multiplicity 1)
O 0.3609 0.8564 0.2523 (multiplicity 1)
O 0.3755 0.6791 0.8602 (multiplicity 1)
O 0.4327 0.3729 0.8583 (multiplicity 1)
O 0.4788 0.7955 0.5281 (multiplicity 1)
O 0.4854 0.1567 0.5031 (multiplicity 1)
O 0.5211 0.5743 0.1801 (multiplicity 1)
O 0.5837 0.2754 0.1738 (multiplicity 1)
O 0.5999 0.0973 0.7816 (multiplicity 1)
O 0.6492 0.4783 0.5183 (multiplicity 1)
O 0.6793 0.7374 0.8606 (multiplicity 1)
O 0.7397 0.4324 0.8595 (multiplicity 1)
O 0.8007 0.9690 0.5257 (multiplicity 1)
O 0.8064 0.8876 0.0762 (multiplicity 1)
O 0.8674 0.3562 0.2530 (multiplicity 1)
O 0.9806 0.6443 0.5153 (multiplicity 1)
O 0.9818 0.3071 0.5156 (multiplicity 1)
O 0.9881 0.1590 0.0491 (multiplicity 1)